1.
K2RbCaF5: computed powder X-ray diffraction pattern (λ = 1.5418 Å (Cu Kα)), based on a crystal structure in Alexandria, relaxed with GGA-PBE.
Lines closer than 0.1° are merged.

Atomic structure:
abc: 7.4961 7.4961 7.4961
angles: 145.92 129.24 62.56
Fractional coordinates of all 9 atoms:
K1 0.2155 0.2155 0.0000
K2 0.7845 0.7845 0.0000
Rb1 0.5000 0.0000 0.5000
Ca1 0.0000 0.5000 0.5000
F1 0.0000 0.0000 0.0000
F2 0.1112 0.3705 0.7407
F3 0.3701 0.6295 0.7407
F4 0.6299 0.3705 0.2593
F5 0.8888 0.6295 0.2593

Top 8 peaks for 2θ from 5° to 70°, by angle:
- 2θ 13.8, I = 20
- 2θ 27.8, I = 29
- 2θ 28.3, I = 100
- 2θ 35.3, I = 30
- 2θ 39.7, I = 44
- 2θ 41.1, I = 24
- 2θ 49.4, I = 20
- 2θ 58.5, I = 24

---

2.
Sr2LiLaTi4O12: computed powder X-ray diffraction pattern (λ = 1.5418 Å (Cu Kα)), based on a crystal structure in Alexandria, relaxed with GGA-PBE.
Lines closer than 0.1° are merged.

Atomic structure:
abc: 8.7630 8.7630 8.7630
angles: 143.12 143.12 53.14
Fractional coordinates of all 20 atoms:
Sr1 0.2481 0.2481 0.0000
Sr2 0.7519 0.7519 0.0000
Li1 0.0000 0.0000 0.0000
La1 0.5000 0.5000 0.0000
Ti1 0.1236 0.6236 0.5000
Ti2 0.3764 0.8764 0.5000
Ti3 0.6236 0.1236 0.5000
Ti4 0.8764 0.3764 0.5000
O1 0.0000 0.5000 0.5000
O2 0.1327 0.1327 0.5113
O3 0.1327 0.6213 0.0000
O4 0.2500 0.7500 0.5000
O5 0.3787 0.3787 0.5113
O6 0.3787 0.8673 0.0000
O7 0.5000 0.0000 0.5000
O8 0.6213 0.1327 0.0000
O9 0.6213 0.6213 0.4887
O10 0.7500 0.2500 0.5000
O11 0.8673 0.3787 0.0000
O12 0.8673 0.8673 0.4887

Top 8 peaks for 2θ from 5° to 70°, by angle:
- 2θ 17.0, I = 29
- 2θ 23.4, I = 14
- 2θ 32.3, I = 100
- 2θ 36.7, I = 8
- 2θ 39.8, I = 20
- 2θ 46.3, I = 43
- 2θ 57.6, I = 38
- 2θ 67.6, I = 24

---

3.
TlInPbAu2: computed powder X-ray diffraction pattern (λ = 1.5418 Å (Cu Kα)), based on a crystal structure in Alexandria, relaxed with GGA-PBE.
Lines closer than 0.1° are merged.

Atomic structure:
abc: 7.9645 7.9645 11.2687
angles: 128.22 128.22 28.41
Fractional coordinates of all 10 atoms:
Tl1 0.0249 0.0249 0.1687
Tl2 0.9751 0.9751 0.8313
In1 0.3822 0.3822 0.4712
In2 0.6178 0.6178 0.5288
Pb1 0.2795 0.2795 0.8851
Pb2 0.7205 0.7205 0.1149
Au1 0.2833 0.2833 0.6251
Au2 0.4039 0.4039 0.2367
Au3 0.5961 0.5961 0.7633
Au4 0.7167 0.7167 0.3749

Top 8 peaks for 2θ from 5° to 70°, by angle:
- 2θ 29.0, I = 100
- 2θ 32.0, I = 59
- 2θ 32.2, I = 72
- 2θ 35.3, I = 45
- 2θ 37.8, I = 67
- 2θ 38.1, I = 42
- 2θ 39.6, I = 44
- 2θ 46.5, I = 41